The following is a calculated X-ray powder pattern of HgHF4. It was derived from a DFT-relaxed cell (GGA-PBE, Alexandria), using λ = 1.5418 Å (Cu Kα).
Intensities are scaled so that the largest is 1000.

Peak list (12 most intense, 2θ from 10° to 90°, low angle first)
13.27 deg, 6.673 Å, I 621, hkl 0 2 0; 18.81 deg, 4.717 Å, I 1000, hkl 1 1 0; 19.96 deg, 4.449 Å, I 648, hkl 0 2 1; 27.91 deg, 3.197 Å, I 530, hkl 1 3 -1; 29.93 deg, 2.985 Å, I 196, hkl 0 0 2; 30.70 deg, 2.913 Å, I 177, hkl 0 4 1; 33.28 deg, 2.692 Å, I 165, hkl 1 3 1; 39.02 deg, 2.308 Å, I 230, hkl 1 5 -1; 40.05 deg, 2.251 Å, I 215, hkl 1 1 2; 43.90 deg, 2.062 Å, I 216, hkl 2 4 -1; 51.26 deg, 1.782 Å, I 235, hkl 2 4 1; 56.11 deg, 1.639 Å, I 170, hkl 1 5 -3

a b c (Å): 5.2887 13.3466 6.2624
angles (deg): 90.00 107.57 90.00
Space group C2/c (No. 15)
One atom of each set of equivalent atoms:
Hg (0.0000, 0.0645, 0.2500) [4 per cell]
H (0.0000, 0.3245, 0.7500) [4 per cell]
F (0.2154, 0.0548, 0.5868) [8 per cell]
F (0.2259, 0.3222, 0.8281) [8 per cell]

***

The following is a calculated X-ray powder pattern of Hg2HF6. It was derived from a DFT-relaxed cell (GGA-PBE, Alexandria), using λ = 1.5418 Å (Cu Kα).
Intensities are scaled so that the largest is 1000.

Peak list (12 most intense, 2θ from 10° to 90°, low angle first)
18.36 deg, 4.831 Å, I 1000, hkl 1 0 0; 22.24 deg, 3.997 Å, I 654, hkl 1 1 1; 22.69 deg, 3.918 Å, I 537, hkl 0 1 1; 24.19 deg, 3.680 Å, I 380, hkl 0 1 -1; 30.54 deg, 2.927 Å, I 727, hkl 1 1 -1; 33.09 deg, 2.707 Å, I 247, hkl 1 2 0; 33.41 deg, 2.682 Å, I 288, hkl 0 0 2; 37.22 deg, 2.416 Å, I 153, hkl 2 0 0; 41.65 deg, 2.169 Å, I 190, hkl 1 2 2; 43.12 deg, 2.098 Å, I 241, hkl 1 0 -2; 44.83 deg, 2.022 Å, I 142, hkl 2 -1 1; 52.95 deg, 1.729 Å, I 165, hkl 0 1 3

a b c (Å): 5.3498 5.6838 5.6943
angles (deg): 80.60 70.78 70.98
Space group P-1 (No. 2)
One atom of each set of equivalent atoms:
Hg (0.0000, 0.0000, 0.0000) [1 per cell]
Hg (0.0000, 0.5000, 0.5000) [1 per cell]
H (0.5000, 0.0000, 0.5000) [1 per cell]
F (0.0005, 0.7512, 0.7485) [2 per cell]
F (0.2393, 0.6816, 0.1809) [2 per cell]
F (0.3472, 0.1424, 0.6415) [2 per cell]

***

The following is a calculated X-ray powder pattern of HgHF. It was derived from a DFT-relaxed cell (GGA-PBE, Alexandria), using λ = 1.5418 Å (Cu Kα).
Intensities are scaled so that the largest is 1000.

Peak list (12 most intense, 2θ from 10° to 90°, low angle first)
21.53 deg, 4.128 Å, I 807, hkl 0 0 2; 22.01 deg, 4.038 Å, I 752, hkl 1 0 0; 28.79 deg, 3.101 Å, I 450, hkl 0 2 0; 30.98 deg, 2.887 Å, I 1000, hkl 1 0 2; 36.23 deg, 2.479 Å, I 375, hkl 0 2 2; 36.54 deg, 2.459 Å, I 363, hkl 1 2 0; 42.80 deg, 2.113 Å, I 620, hkl 1 2 2; 43.86 deg, 2.064 Å, I 187, hkl 0 0 4; 49.60 deg, 1.838 Å, I 200, hkl 1 0 4; 50.84 deg, 1.796 Å, I 190, hkl 1 3 1; 58.37 deg, 1.581 Å, I 203, hkl 1 2 4; 59.00 deg, 1.566 Å, I 192, hkl 2 2 2

a b c (Å): 4.0383 6.2015 8.2564
angles (deg): 90.00 90.00 90.00
Space group Amm2 (No. 38)
One atom of each set of equivalent atoms:
Hg (0.0000, 0.2125, 0.0000) [4 per cell]
H (0.0000, 0.0000, 0.5328) [2 per cell]
H (0.5000, 0.0000, 0.2792) [2 per cell]
F (0.5000, 0.1857, 0.2797) [4 per cell]

***

The following is a calculated X-ray powder pattern of Hg3H8F2. It was derived from a DFT-relaxed cell (GGA-PBE, Alexandria), using λ = 1.5418 Å (Cu Kα).
Intensities are scaled so that the largest is 1000.

Peak list (12 most intense, 2θ from 10° to 90°, low angle first)
17.07 deg, 5.195 Å, I 1000, hkl 1 1 0; 19.39 deg, 4.577 Å, I 982, hkl 0 2 1; 22.51 deg, 3.950 Å, I 617, hkl 0 0 2; 24.83 deg, 3.586 Å, I 336, hkl 1 1 -2; 28.90 deg, 3.089 Å, I 641, hkl 1 3 -1; 30.51 deg, 2.930 Å, I 264, hkl 2 0 0; 31.57 deg, 2.834 Å, I 284, hkl 1 1 2; 32.05 deg, 2.793 Å, I 594, hkl 1 3 1; 33.64 deg, 2.664 Å, I 273, hkl 2 2 -1; 43.13 deg, 2.097 Å, I 274, hkl 2 0 2; 48.11 deg, 1.891 Å, I 275, hkl 2 0 -4; 51.24 deg, 1.783 Å, I 252, hkl 3 3 -1

a b c (Å): 6.0874 11.2306 8.2068
angles (deg): 90.00 105.71 90.00
Space group C2/m (No. 12)
One atom of each set of equivalent atoms:
Hg (0.0000, 0.0000, 0.0000) [2 per cell]
Hg (0.0000, 0.1731, 0.5000) [4 per cell]
H (0.0331, 0.5000, 0.7311) [4 per cell]
H (0.1170, 0.5000, 0.6782) [4 per cell]
H (0.2315, 0.2714, 0.0291) [8 per cell]
F (0.2138, 0.0000, 0.8564) [4 per cell]

***

The following is a calculated X-ray powder pattern of Na2HgHF6. It was derived from a DFT-relaxed cell (GGA-PBE, Alexandria), using λ = 1.5418 Å (Cu Kα).
Intensities are scaled so that the largest is 1000.

Peak list (12 most intense, 2θ from 10° to 90°, low angle first)
16.81 deg, 5.273 Å, I 1000, hkl 1 0 0; 17.73 deg, 5.002 Å, I 522, hkl 0 0 2; 21.35 deg, 4.161 Å, I 996, hkl 0 1 1; 24.17 deg, 3.683 Å, I 443, hkl 1 1 -1; 28.78 deg, 3.102 Å, I 261, hkl 2 0 -2; 30.08 deg, 2.971 Å, I 512, hkl 1 1 1; 30.19 deg, 2.961 Å, I 516, hkl 1 1 -3; 36.11 deg, 2.487 Å, I 511, hkl 2 1 -3; 43.10 deg, 2.099 Å, I 237, hkl 1 2 -2; 50.52 deg, 1.807 Å, I 200, hkl 1 2 2; 50.62 deg, 1.803 Å, I 201, hkl 1 2 -4; 51.91 deg, 1.761 Å, I 218, hkl 3 0 0

a b c (Å): 6.2048 4.5758 11.7404
angles (deg): 90.00 121.55 90.00
Space group P2_1/c (No. 14)
One atom of each set of equivalent atoms:
Na (0.1804, 0.0005, 0.1807) [4 per cell]
Hg (0.5000, 0.0000, 0.0000) [2 per cell]
H (0.0000, 0.0000, 0.5000) [2 per cell]
F (0.1026, 0.2109, 0.4998) [4 per cell]
F (0.1850, 0.7146, 0.3453) [4 per cell]
F (0.4915, 0.7199, 0.6537) [4 per cell]

***

The following is a calculated X-ray powder pattern of SrHgH2F8. It was derived from a DFT-relaxed cell (GGA-PBE, Alexandria), using λ = 1.5418 Å (Cu Kα).
Intensities are scaled so that the largest is 1000.

Peak list (12 most intense, 2θ from 10° to 90°, low angle first)
10.05 deg, 8.801 Å, I 748, hkl 0 0 1; 20.18 deg, 4.401 Å, I 1000, hkl 0 0 2; 20.62 deg, 4.307 Å, I 756, hkl 0 1 0; 22.42 deg, 3.966 Å, I 601, hkl 1 0 0; 24.84 deg, 3.585 Å, I 738, hkl 1 -1 0; 27.29 deg, 3.268 Å, I 512, hkl 0 1 -2; 28.51 deg, 3.131 Å, I 381, hkl 1 0 -2; 30.64 deg, 2.918 Å, I 388, hkl 0 1 2; 35.60 deg, 2.522 Å, I 323, hkl 1 1 0; 38.59 deg, 2.333 Å, I 440, hkl 1 1 -2; 41.03 deg, 2.200 Å, I 391, hkl 0 0 4; 43.79 deg, 2.067 Å, I 290, hkl 1 1 2

a b c (Å): 4.2294 4.5918 8.8877
angles (deg): 94.52 94.73 109.28
Space group P-1 (No. 2)
One atom of each set of equivalent atoms:
Sr (0.0000, 0.0000, 0.0000) [1 per cell]
Hg (0.0000, 0.0000, 0.5000) [1 per cell]
H (0.4706, 0.5092, 0.2661) [2 per cell]
F (0.2053, 0.2256, 0.7182) [2 per cell]
F (0.2524, 0.3375, 0.2526) [2 per cell]
F (0.2944, 0.7339, 0.5269) [2 per cell]
F (0.3956, 0.7137, 0.0046) [2 per cell]

***

What did the fourth record say?
The following is a calculated X-ray powder pattern of Hg3H8F2. It was derived from a DFT-relaxed cell (GGA-PBE, Alexandria), using λ = 1.5418 Å (Cu Kα).
Intensities are scaled so that the largest is 1000.

Peak list (12 most intense, 2θ from 10° to 90°, low angle first)
17.07 deg, 5.195 Å, I 1000, hkl 1 1 0; 19.39 deg, 4.577 Å, I 982, hkl 0 2 1; 22.51 deg, 3.950 Å, I 617, hkl 0 0 2; 24.83 deg, 3.586 Å, I 336, hkl 1 1 -2; 28.90 deg, 3.089 Å, I 641, hkl 1 3 -1; 30.51 deg, 2.930 Å, I 264, hkl 2 0 0; 31.57 deg, 2.834 Å, I 284, hkl 1 1 2; 32.05 deg, 2.793 Å, I 594, hkl 1 3 1; 33.64 deg, 2.664 Å, I 273, hkl 2 2 -1; 43.13 deg, 2.097 Å, I 274, hkl 2 0 2; 48.11 deg, 1.891 Å, I 275, hkl 2 0 -4; 51.24 deg, 1.783 Å, I 252, hkl 3 3 -1

a b c (Å): 6.0874 11.2306 8.2068
angles (deg): 90.00 105.71 90.00
Space group C2/m (No. 12)
One atom of each set of equivalent atoms:
Hg (0.0000, 0.0000, 0.0000) [2 per cell]
Hg (0.0000, 0.1731, 0.5000) [4 per cell]
H (0.0331, 0.5000, 0.7311) [4 per cell]
H (0.1170, 0.5000, 0.6782) [4 per cell]
H (0.2315, 0.2714, 0.0291) [8 per cell]
F (0.2138, 0.0000, 0.8564) [4 per cell]